Entry 1:
# NpRe2
Simulated powder XRD pattern, Cu Kα, 1.54184 Å. Input: a PBE-relaxed structure.
Intensities are scaled so that the largest is 100.

Peak list (10 most intense, 2θ = 10–80°, by intensity)
hkl 2 0 1, 38.9°, rel. 100; hkl 1 1 2, 39.3°, rel. 89; hkl 1 0 3, 38.3°, rel. 77; hkl 1 1 0, 32.1°, rel. 41; hkl 2 1 3, 61.4°, rel. 36; hkl 2 2 0, 67.1°, rel. 34; hkl 3 0 2, 62.1°, rel. 24; hkl 2 0 5, 70.1°, rel. 23; hkl 2 0 2, 43.7°, rel. 18; hkl 1 0 4, 48.9°, rel. 14

Structure:
```
data_NpRe2
_chemical_formula_sum 'Np4 Re8'
_symmetry_space_group_name_H-M 'P 63/m m c'
_symmetry_Int_Tables_number 194
_symmetry_space_group_name_Hall '-P 6c 2c'
_cell_length_a 5.5772
_cell_length_b 5.5772
_cell_length_c 8.0672
_cell_angle_alpha 90.00
_cell_angle_beta 90.00
_cell_angle_gamma 120.00
loop_
_atom_site_label
_atom_site_type_symbol
_atom_site_fract_x
_atom_site_fract_y
_atom_site_fract_z
_atom_site_occupancy
Np1 Np 0.3333 0.6667 0.0765 1
Re1 Re 0.0000 0.0000 0.0000 1
Re2 Re 0.1710 0.3419 0.7500 1
```

---

Entry 2:
# NpS2
Simulated powder XRD pattern, Cu Kα, 1.54184 Å. Input: a PBE-relaxed structure.
Intensities are scaled so that the largest is 100.

Peak list (10 most intense, 2θ = 10–80°, by intensity)
hkl 0 0 3, 14.0°, rel. 100; hkl 0 1 2, 27.4°, rel. 68; hkl 0 1 5, 35.1°, rel. 48; hkl 1 0 1, 26.1°, rel. 35; hkl 1 1 3, 47.7°, rel. 29; hkl 1 1 0, 45.3°, rel. 24; hkl 1 0 4, 32.0°, rel. 23; hkl 1 0 7, 42.4°, rel. 23; hkl 1 2 5, 77.0°, rel. 19; hkl 0 1 8, 46.5°, rel. 14

Structure:
```
data_NpS2
_chemical_formula_sum 'Np3 S6'
_symmetry_space_group_name_H-M 'R -3 m'
_symmetry_Int_Tables_number 166
_symmetry_space_group_name_Hall '-R 3 2"'
_cell_length_a 4.0042
_cell_length_b 4.0042
_cell_length_c 18.9235
_cell_angle_alpha 90.00
_cell_angle_beta 90.00
_cell_angle_gamma 120.00
loop_
_atom_site_label
_atom_site_type_symbol
_atom_site_fract_x
_atom_site_fract_y
_atom_site_fract_z
_atom_site_occupancy
Np1 Np 0.0000 0.0000 0.0000 1
S1 S 0.0000 0.0000 0.4043 1
```

---

Entry 3:
# Np3S5
Simulated powder XRD pattern, Cu Kα, 1.54184 Å. Input: a PBE-relaxed structure.
Intensities are scaled so that the largest is 100.

Peak list (10 most intense, 2θ = 10–80°, by intensity)
hkl 1 1 1, 27.0°, rel. 100; hkl 2 1 1, 38.1°, rel. 48; hkl 1 1 2, 36.9°, rel. 37; hkl 0 0 2, 28.6°, rel. 37; hkl 3 1 1, 50.9°, rel. 34; hkl 1 1 0, 22.8°, rel. 29; hkl 3 0 0, 40.0°, rel. 27; hkl 1 1 3, 49.7°, rel. 20; hkl 1 0 0, 13.1°, rel. 20; hkl 2 0 2, 39.3°, rel. 18

Structure:
```
data_Np3S5
_chemical_formula_sum 'Np6 S10'
_symmetry_space_group_name_H-M 'P 63/m c m'
_symmetry_Int_Tables_number 193
_symmetry_space_group_name_Hall '-P 6c 2'
_cell_length_a 7.8026
_cell_length_b 7.8026
_cell_length_c 6.2361
_cell_angle_alpha 90.00
_cell_angle_beta 90.00
_cell_angle_gamma 120.00
loop_
_atom_site_label
_atom_site_type_symbol
_atom_site_fract_x
_atom_site_fract_y
_atom_site_fract_z
_atom_site_occupancy
Np1 Np 0.0000 0.3895 0.2500 1
S1 S 0.0000 0.2535 0.7500 1
S2 S 0.3333 0.6667 0.0000 1
```